Diffraction record for CsMnGa2Br8. The powder X-ray diffraction pattern is simulated, not measured: it uses DFT lattice parameters and positions (GGA-PBE) and copper Kα.

Main lines, in order of rising 2θ (2θ from 5° to 70°):
Position (°2θ)	d/Å	Rel. int.
18.9	4.701	46
26.3	3.393	42
27.3	3.263	100
31.4	2.853	67
44.2	2.047	45
45.6	1.989	47
53.4	1.716	33
54.0	1.698	17

Crystal structure
Cell lengths 10.929, 10.929, 10.929 Å; angles 36.75, 36.75, 36.75 degrees
Atoms (fractional coordinates):
Cs  0.000  0.000  0.000
Mn  0.500  0.500  0.500
Ga  0.241  0.241  0.241
Ga  0.759  0.759  0.759
Br  0.132  0.767  0.446
Br  0.233  0.554  0.868
Br  0.320  0.320  0.320
Br  0.446  0.132  0.767
Br  0.554  0.868  0.233
Br  0.680  0.680  0.680
Br  0.767  0.446  0.132
Br  0.868  0.233  0.554